Entry 1:
Diffraction record for Hf4Al2Zn5. The powder XRD pattern is computed, not measured: it uses a cell relaxed with PBE and Cu Kα.
Neutral-atom scattering factors, no anomalous dispersion.

Peak list (8 most intense, 10 to 80 degrees two-theta, by angle)
- 35.00°, I = 51, (0 1 2)
- 36.85°, I = 100, (1 1 -2)
- 37.94°, I = 78, (1 1 2)
- 39.01°, I = 66, (2 1 0)
- 39.50°, I = 80, (3 0 -1)
- 40.59°, I = 80, (1 0 -4)
- 40.80°, I = 56, (2 1 1)
- 40.92°, I = 77, (2 0 3)

Structural model:
```
data_Hf4Al2Zn5
_chemical_formula_sum 'Hf4 Al2 Zn5'
_space_group_name_H-M_alt 'P 1 2/m 1'
_space_group_IT_number 10
_cell_length_a 6.9482
_cell_length_b 3.0965
_cell_length_c 9.1713
_cell_angle_alpha 90.00
_cell_angle_beta 94.41
_cell_angle_gamma 90.00
loop_
_space_group_symop_operation_xyz
'x,y,z'
'-x,-y,-z'
'-x,y,-z'
'x,-y,z'
loop_
_atom_site_label
_atom_site_type_symbol
_atom_site_fract_x
_atom_site_fract_y
_atom_site_fract_z
Hf1 Hf 0.1615 0.0000 0.3916
Hf2 Hf 0.2831 0.0000 0.9441
Al1 Al 0.0597 0.5000 0.1374
Zn1 Zn 0.1989 0.5000 0.6669
Zn2 Zn 0.4330 0.5000 0.2085
Zn3 Zn 0.5000 0.5000 0.5000
```

---

Entry 2:
Diffraction record for Hf2Al8Zn. The powder XRD pattern is computed, not measured: it uses a cell relaxed with PBE and Cu Kα.
Neutral-atom scattering factors, no anomalous dispersion.

Peak list (8 most intense, 10 to 80 degrees two-theta, by angle)
- 17.53°, I = 100, (1 0 0)
- 23.87°, I = 55, (1 1 0)
- 37.43°, I = 58, (0 2 -1)
- 37.89°, I = 65, (-1 1 2)
- 38.84°, I = 71, (2 1 0)
- 39.17°, I = 70, (1 0 3)
- 40.23°, I = 55, (2 -1 1)
- 42.24°, I = 57, (1 2 2)

Structural model:
```
data_Hf2Al8Zn
_chemical_formula_sum 'Hf2 Al8 Zn1'
_space_group_name_H-M_alt 'P -1'
_space_group_IT_number 2
_cell_length_a 5.1906
_cell_length_b 5.2933
_cell_length_c 7.1389
_cell_angle_alpha 84.98
_cell_angle_beta 77.34
_cell_angle_gamma 86.54
loop_
_space_group_symop_operation_xyz
'x,y,z'
'-x,-y,-z'
loop_
_atom_site_label
_atom_site_type_symbol
_atom_site_fract_x
_atom_site_fract_y
_atom_site_fract_z
Hf1 Hf 0.0790 0.2925 0.1447
Al1 Al 0.1891 0.1742 0.7580
Al2 Al 0.2633 0.9242 0.4296
Al3 Al 0.3503 0.7916 0.0427
Al4 Al 0.4763 0.5923 0.6961
Zn1 Zn 0.0000 0.5000 0.5000
```

---

Entry 3:
Diffraction record for Hf2Al3Zn3. The powder XRD pattern is computed, not measured: it uses a cell relaxed with PBE and Cu Kα.
Neutral-atom scattering factors, no anomalous dispersion.

Peak list (8 most intense, 10 to 80 degrees two-theta, by angle)
- 21.95°, I = 16, (1 0 0)
- 22.08°, I = 28, (0 0 2)
- 31.16°, I = 38, (1 1 0)
- 38.49°, I = 100, (1 1 2)
- 44.43°, I = 17, (0 2 0)
- 44.75°, I = 16, (2 0 0)
- 45.03°, I = 16, (0 0 4)
- 77.82°, I = 12, (1 3 2)

Structural model:
```
data_Hf2Al3Zn3
_chemical_formula_sum 'Hf2 Al3 Zn3'
_space_group_name_H-M_alt 'P m m m'
_space_group_IT_number 47
_cell_length_a 4.0502
_cell_length_b 4.0780
_cell_length_c 8.0525
_cell_angle_alpha 90.00
_cell_angle_beta 90.00
_cell_angle_gamma 90.00
loop_
_space_group_symop_operation_xyz
'x,y,z'
'-x,-y,-z'
'-x,-y,z'
'x,y,-z'
'x,-y,-z'
'-x,y,z'
'-x,y,-z'
'x,-y,z'
loop_
_atom_site_label
_atom_site_type_symbol
_atom_site_fract_x
_atom_site_fract_y
_atom_site_fract_z
Hf1 Hf 0.0000 0.0000 0.2486
Al1 Al 0.0000 0.5000 0.0000
Al2 Al 0.5000 0.0000 0.0000
Al3 Al 0.5000 0.0000 0.5000
Zn1 Zn 0.0000 0.5000 0.5000
Zn2 Zn 0.5000 0.5000 0.2513
```